[1]
Structure and computed powder X-ray diffraction pattern of Mn3BPO10 (a DFT-relaxed cell (GGA+U, the Materials Project); Cu Kα X-rays).
Peak positions follow from Bragg's law for the DFT cell and can differ from measured ones.

Crystal structure
```
Mn3BPO10
1.0
14.5745 0.0000 0.0000
0.0000 6.3043 0.0000
0.0000 0.0000 7.4749
Mn B P O
12 4 4 40
direct
0.0253 0.2500 0.2215 Mn
0.1443 0.0056 0.8515 Mn
0.1443 0.4944 0.8515 Mn
0.3557 0.5056 0.3515 Mn
0.3557 0.9944 0.3515 Mn
0.4747 0.7500 0.7215 Mn
0.5253 0.2500 0.2785 Mn
0.6443 0.0056 0.6485 Mn
0.6443 0.4944 0.6485 Mn
0.8557 0.5056 0.1485 Mn
0.8557 0.9944 0.1485 Mn
0.9747 0.7500 0.7785 Mn
0.1845 0.2500 0.4902 B
0.3155 0.7500 0.9902 B
0.6845 0.2500 0.0098 B
0.8155 0.7500 0.5098 B
0.0554 0.7500 0.2147 P
0.4446 0.2500 0.7147 P
0.5554 0.7500 0.2853 P
0.9446 0.2500 0.7853 P
0.0097 0.0506 0.7709 O
0.0097 0.4494 0.7709 O
0.0837 0.7500 0.0093 O
0.0904 0.2500 0.4329 O
0.1191 0.2500 0.0171 O
0.1243 0.7500 0.7072 O
0.1334 0.7500 0.3402 O
0.1806 0.2500 0.6895 O
0.2377 0.0748 0.4136 O
0.2377 0.4252 0.4136 O
0.2623 0.5748 0.9136 O
0.2623 0.9252 0.9136 O
0.3194 0.7500 0.1895 O
0.3666 0.2500 0.8402 O
0.3757 0.2500 0.2072 O
0.3809 0.7500 0.5171 O
0.4096 0.7500 0.9329 O
0.4163 0.2500 0.5093 O
0.4903 0.5506 0.2709 O
0.4903 0.9494 0.2709 O
0.5097 0.0506 0.7291 O
0.5097 0.4494 0.7291 O
0.5837 0.7500 0.4907 O
0.5904 0.2500 0.0671 O
0.6191 0.2500 0.4829 O
0.6243 0.7500 0.7928 O
0.6334 0.7500 0.1598 O
0.6806 0.2500 0.8105 O
0.7377 0.0748 0.0864 O
0.7377 0.4252 0.0864 O
0.7623 0.5748 0.5864 O
0.7623 0.9252 0.5864 O
0.8194 0.7500 0.3105 O
0.8666 0.2500 0.6598 O
0.8757 0.2500 0.2928 O
0.8809 0.7500 0.9829 O
0.9096 0.7500 0.5671 O
0.9163 0.2500 0.9907 O
0.9903 0.5506 0.2291 O
0.9903 0.9494 0.2291 O
```

The 12 most intense peaks (5° ≤ 2θ ≤ 70°), by intensity:
Position (°2θ)	intensity
13.31	1000
33.20	886
24.59	786
27.23	628
50.34	551
16.99	535
37.84	509
26.81	501
23.81	457
12.15	441
36.02	389
30.91	335

***

[2]
Structure and computed powder X-ray diffraction pattern of MnZn5B2O10 (a DFT-relaxed cell (GGA+U, the Materials Project); Cu Kα X-rays).
Peak positions follow from Bragg's law for the DFT cell and can differ from measured ones.

Crystal structure
```
MnZn5B2O10
1.0
3.0982 0.0000 0.0000
0.0000 9.4677 0.0000
0.0000 0.0000 12.4701
Mn Zn B O
2 10 4 20
direct
0.0000 0.0070 0.0000 Mn
0.0000 0.9930 0.5000 Mn
0.0000 0.2621 0.3808 Zn
0.0000 0.4880 0.7664 Zn
0.0000 0.5120 0.2664 Zn
0.0000 0.7379 0.8808 Zn
0.5000 0.2522 0.1643 Zn
0.5000 0.2583 0.8844 Zn
0.5000 0.2606 0.6062 Zn
0.5000 0.7394 0.1062 Zn
0.5000 0.7417 0.3844 Zn
0.5000 0.7478 0.6643 Zn
0.0000 0.0202 0.7469 B
0.0000 0.4745 0.0238 B
0.0000 0.5255 0.5238 B
0.0000 0.9798 0.2469 B
0.0000 0.0939 0.6496 O
0.0000 0.0954 0.8439 O
0.0000 0.1247 0.2454 O
0.0000 0.3769 0.5243 O
0.0000 0.3995 0.9287 O
0.0000 0.4004 0.1196 O
0.0000 0.5996 0.6196 O
0.0000 0.6005 0.4287 O
0.0000 0.6231 0.0243 O
0.0000 0.8753 0.7454 O
0.0000 0.9046 0.3439 O
0.0000 0.9061 0.1496 O
0.5000 0.1258 0.4696 O
0.5000 0.1350 0.0270 O
0.5000 0.3540 0.7427 O
0.5000 0.3600 0.3061 O
0.5000 0.6400 0.8061 O
0.5000 0.6460 0.2427 O
0.5000 0.8650 0.5270 O
0.5000 0.8742 0.9696 O
```

The 12 most intense peaks (5° ≤ 2θ ≤ 70°), by intensity:
Position (°2θ)	intensity
34.45	1000
34.60	757
17.03	473
46.53	364
37.43	358
60.77	325
43.43	259
18.75	257
59.68	256
57.20	253
61.57	234
41.48	231

***

[3]
Structure and computed powder X-ray diffraction pattern of Pr2B2MoO9 (a DFT-relaxed cell (GGA+U, the Materials Project); Cu Kα X-rays).
Peak positions follow from Bragg's law for the DFT cell and can differ from measured ones.

Crystal structure
```
Pr2B2MoO9
1.0
5.3624 0.0000 0.0000
2.0785 6.8024 0.0000
2.5755 2.2253 10.2002
Pr B Mo O
4 4 2 18
direct
0.1301 0.4224 0.3137 Pr
0.3427 0.2936 0.9538 Pr
0.6573 0.7064 0.0462 Pr
0.8699 0.5776 0.6863 Pr
0.0403 0.9121 0.1365 B
0.2373 0.7456 0.8442 B
0.7627 0.2544 0.1558 B
0.9597 0.0879 0.8635 B
0.4624 0.7904 0.4189 Mo
0.5376 0.2096 0.5811 Mo
0.0159 0.7204 0.1470 O
0.0460 0.6418 0.8608 O
0.1871 0.9536 0.8143 O
0.1949 0.3194 0.5545 O
0.2599 0.7098 0.5702 O
0.2655 0.9723 0.0733 O
0.3554 0.0577 0.3763 O
0.4178 0.6726 0.2982 O
0.4890 0.6339 0.8656 O
0.5110 0.3661 0.1344 O
0.5822 0.3274 0.7018 O
0.6446 0.9423 0.6237 O
0.7345 0.0277 0.9267 O
0.7401 0.2902 0.4298 O
0.8051 0.6806 0.4455 O
0.8129 0.0464 0.1857 O
0.9540 0.3582 0.1392 O
0.9841 0.2796 0.8530 O
```

The 12 most intense peaks (5° ≤ 2θ ≤ 70°), by intensity:
Position (°2θ)	intensity
27.43	1000
26.05	764
26.93	675
28.32	618
43.58	482
28.77	479
19.31	475
13.32	464
32.02	411
33.56	394
30.42	310
43.25	263

***

[4]
Structure and computed powder X-ray diffraction pattern of Na3NiB2O6 (a DFT-relaxed cell (GGA+U, the Materials Project); Cu Kα X-rays).
Peak positions follow from Bragg's law for the DFT cell and can differ from measured ones.

Crystal structure
```
Na3NiB2O6
1.0
5.6107 0.0000 0.0000
0.0000 9.5602 0.0000
-4.7260 0.0000 10.3435
Na Ni B O
12 4 8 24
direct
0.0109 0.0299 0.3563 Na
0.0109 0.4701 0.8563 Na
0.0380 0.1599 0.8747 Na
0.0380 0.3401 0.3747 Na
0.4307 0.5113 0.6185 Na
0.4307 0.9887 0.1185 Na
0.5693 0.0113 0.8815 Na
0.5693 0.4887 0.3815 Na
0.9620 0.6599 0.6253 Na
0.9620 0.8401 0.1253 Na
0.9891 0.5299 0.1437 Na
0.9891 0.9701 0.6437 Na
0.4854 0.1892 0.6266 Ni
0.4854 0.3108 0.1266 Ni
0.5146 0.6892 0.8734 Ni
0.5146 0.8108 0.3734 Ni
0.0547 0.6895 0.3816 B
0.0547 0.8105 0.8816 B
0.4768 0.6486 0.1325 B
0.4768 0.8514 0.6325 B
0.5232 0.1486 0.3675 B
0.5232 0.3514 0.8675 B
0.9453 0.1895 0.1184 B
0.9453 0.3105 0.6184 B
0.1413 0.6866 0.8475 O
0.1413 0.8134 0.3475 O
0.1661 0.1946 0.0926 O
0.1661 0.3054 0.5926 O
0.1825 0.5647 0.3883 O
0.1825 0.9353 0.8883 O
0.3664 0.1784 0.4321 O
0.3664 0.3216 0.9321 O
0.3901 0.7369 0.6811 O
0.3901 0.7631 0.1811 O
0.4062 0.5147 0.1516 O
0.4062 0.9853 0.6516 O
0.5938 0.0147 0.3484 O
0.5938 0.4853 0.8484 O
0.6099 0.2369 0.8189 O
0.6099 0.2631 0.3189 O
0.6336 0.6784 0.0679 O
0.6336 0.8216 0.5679 O
0.8175 0.0647 0.1117 O
0.8175 0.4353 0.6117 O
0.8339 0.6946 0.4074 O
0.8339 0.8054 0.9074 O
0.8587 0.1866 0.6525 O
0.8587 0.3134 0.1525 O
```

The 12 most intense peaks (5° ≤ 2θ ≤ 70°), by intensity:
Position (°2θ)	intensity
34.69	1000
32.34	713
20.88	432
19.51	412
17.38	358
35.17	349
49.20	319
32.02	271
49.90	261
36.15	261
50.51	252
18.56	238

***

[5]
Structure and computed powder X-ray diffraction pattern of NaNiBO3 (a DFT-relaxed cell (GGA+U, the Materials Project); Cu Kα X-rays).
Peak positions follow from Bragg's law for the DFT cell and can differ from measured ones.

Crystal structure
```
NaNiBO3
1.0
5.0270 0.0000 0.0000
2.5099 4.4095 0.0000
1.0820 0.0004 5.4946
Na Ni B O
2 2 2 6
direct
0.0000 0.0000 0.0000 Na
0.3309 0.3402 0.4977 Na
0.6645 0.6722 0.2491 Ni
0.6656 0.6716 0.7488 Ni
0.3331 0.3352 0.9987 B
0.9968 0.0088 0.4994 B
0.0317 0.4865 0.9513 O
0.2977 0.8559 0.5480 O
0.4736 0.4955 0.0479 O
0.4954 0.0206 0.9975 O
0.8368 0.3235 0.4990 O
0.8547 0.8501 0.4505 O
```

The 12 most intense peaks (5° ≤ 2θ ≤ 70°), by intensity:
Position (°2θ)	intensity
20.63	1000
35.55	633
20.14	571
41.89	526
38.61	467
49.18	366
35.68	359
36.43	302
53.27	285
58.79	181
42.44	179
44.27	130

***

[6]
Structure and computed powder X-ray diffraction pattern of Na3NiBPO7 (a DFT-relaxed cell (GGA+U, the Materials Project); Cu Kα X-rays).
Peak positions follow from Bragg's law for the DFT cell and can differ from measured ones.

Crystal structure
```
Na3NiBPO7
1.0
5.1616 0.0000 0.0000
0.0000 6.7523 0.0000
-0.2565 0.0000 8.8840
Na Ni B P O
6 2 2 2 14
direct
0.2351 0.2500 0.0842 Na
0.2531 0.5070 0.7319 Na
0.2531 0.9930 0.7319 Na
0.7469 0.0070 0.2681 Na
0.7469 0.4930 0.2681 Na
0.7649 0.7500 0.9158 Na
0.2180 0.7500 0.3429 Ni
0.7820 0.2500 0.6571 Ni
0.2672 0.7500 0.0692 B
0.7328 0.2500 0.9308 B
0.2826 0.2500 0.4189 P
0.7174 0.7500 0.5811 P
0.0313 0.7500 0.1398 O
0.1317 0.2500 0.5664 O
0.2192 0.0660 0.3199 O
0.2192 0.4340 0.3199 O
0.2938 0.7500 0.9194 O
0.4194 0.7500 0.5393 O
0.4720 0.7500 0.1743 O
0.5280 0.2500 0.8257 O
0.5806 0.2500 0.4607 O
0.7062 0.2500 0.0806 O
0.7808 0.5660 0.6801 O
0.7808 0.9340 0.6801 O
0.8683 0.7500 0.4336 O
0.9687 0.2500 0.8602 O
```

The 12 most intense peaks (5° ≤ 2θ ≤ 70°), by intensity:
Position (°2θ)	intensity
9.96	1000
26.40	773
34.78	536
33.11	504
33.44	375
16.49	344
33.33	332
54.35	266
19.65	255
20.15	242
26.09	240
42.18	236

***

What did the second record say?
Structure and computed powder X-ray diffraction pattern of MnZn5B2O10 (a DFT-relaxed cell (GGA+U, the Materials Project); Cu Kα X-rays).
Peak positions follow from Bragg's law for the DFT cell and can differ from measured ones.

Crystal structure
```
MnZn5B2O10
1.0
3.0982 0.0000 0.0000
0.0000 9.4677 0.0000
0.0000 0.0000 12.4701
Mn Zn B O
2 10 4 20
direct
0.0000 0.0070 0.0000 Mn
0.0000 0.9930 0.5000 Mn
0.0000 0.2621 0.3808 Zn
0.0000 0.4880 0.7664 Zn
0.0000 0.5120 0.2664 Zn
0.0000 0.7379 0.8808 Zn
0.5000 0.2522 0.1643 Zn
0.5000 0.2583 0.8844 Zn
0.5000 0.2606 0.6062 Zn
0.5000 0.7394 0.1062 Zn
0.5000 0.7417 0.3844 Zn
0.5000 0.7478 0.6643 Zn
0.0000 0.0202 0.7469 B
0.0000 0.4745 0.0238 B
0.0000 0.5255 0.5238 B
0.0000 0.9798 0.2469 B
0.0000 0.0939 0.6496 O
0.0000 0.0954 0.8439 O
0.0000 0.1247 0.2454 O
0.0000 0.3769 0.5243 O
0.0000 0.3995 0.9287 O
0.0000 0.4004 0.1196 O
0.0000 0.5996 0.6196 O
0.0000 0.6005 0.4287 O
0.0000 0.6231 0.0243 O
0.0000 0.8753 0.7454 O
0.0000 0.9046 0.3439 O
0.0000 0.9061 0.1496 O
0.5000 0.1258 0.4696 O
0.5000 0.1350 0.0270 O
0.5000 0.3540 0.7427 O
0.5000 0.3600 0.3061 O
0.5000 0.6400 0.8061 O
0.5000 0.6460 0.2427 O
0.5000 0.8650 0.5270 O
0.5000 0.8742 0.9696 O
```

The 12 most intense peaks (5° ≤ 2θ ≤ 70°), by intensity:
Position (°2θ)	intensity
34.45	1000
34.60	757
17.03	473
46.53	364
37.43	358
60.77	325
43.43	259
18.75	257
59.68	256
57.20	253
61.57	234
41.48	231